# 1
Calculated powder diffractogram of Pm3Ge2Pd6 for Cu Ka, from the GGA-PBE geometry in Alexandria.
Peak positions follow from Bragg's law for the DFT cell and can differ from measured ones.

Top 10 peaks for 10 to 90 degrees two-theta, sorted by position:
- 13.12 deg, 6.750 Å, intensity 10
- 29.59 deg, 3.019 Å, intensity 21
- 32.49 deg, 2.756 Å, intensity 15
- 35.18 deg, 2.551 Å, intensity 31
- 37.69 deg, 2.386 Å, intensity 19
- 40.07 deg, 2.250 Å, intensity 100
- 57.97 deg, 1.591 Å, intensity 10
- 59.71 deg, 1.549 Å, intensity 18
- 64.78 deg, 1.439 Å, intensity 17
- 72.81 deg, 1.299 Å, intensity 23

Atomic structure:
Cell lengths 8.2670, 8.2670, 8.2670 Å; angles 109.47, 109.47, 109.47 degrees
Fractional coordinates of all 22 atoms:
Pm  0.0000  0.2869  0.2869
Pm  0.0000  0.7131  0.7131
Pm  0.2869  0.0000  0.2869
Pm  0.2869  0.2869  0.0000
Pm  0.7131  0.0000  0.7131
Pm  0.7131  0.7131  0.0000
Ge  0.0000  0.0000  0.5000
Ge  0.0000  0.5000  0.0000
Ge  0.5000  0.0000  0.0000
Ge  0.5000  0.5000  0.5000
Pd  0.0000  0.3295  0.6705
Pd  0.0000  0.6705  0.3295
Pd  0.3295  0.0000  0.6705
Pd  0.3295  0.3295  0.6590
Pd  0.3295  0.6590  0.3295
Pd  0.3295  0.6705  0.0000
Pd  0.3410  0.6705  0.6705
Pd  0.6590  0.3295  0.3295
Pd  0.6705  0.0000  0.3295
Pd  0.6705  0.3295  0.0000
Pd  0.6705  0.3410  0.6705
Pd  0.6705  0.6705  0.3410


# 2
Calculated powder diffractogram of Pm3Ge6Pd20 for Cu Ka, from the GGA-PBE geometry in Alexandria.
Peak positions follow from Bragg's law for the DFT cell and can differ from measured ones.

Top 10 peaks for 10 to 90 degrees two-theta, sorted by position:
- 31.84 deg, 2.810 Å, intensity 15
- 34.98 deg, 2.565 Å, intensity 24
- 37.17 deg, 2.419 Å, intensity 100
- 40.61 deg, 2.222 Å, intensity 50
- 42.56 deg, 2.124 Å, intensity 28
- 43.19 deg, 2.095 Å, intensity 14
- 48.02 deg, 1.895 Å, intensity 23
- 62.73 deg, 1.481 Å, intensity 25
- 64.18 deg, 1.451 Å, intensity 14
- 73.89 deg, 1.283 Å, intensity 27

Atomic structure:
Cell lengths 8.8866, 8.8866, 8.8866 Å; angles 60.00, 60.00, 60.00 degrees
Fractional coordinates of all 29 atoms:
Pm  0.0000  0.0000  0.0000
Pm  0.2500  0.2500  0.2500
Pm  0.7500  0.7500  0.7500
Ge  0.2680  0.2680  0.7320
Ge  0.2680  0.7320  0.2680
Ge  0.2680  0.7320  0.7320
Ge  0.7320  0.2680  0.2680
Ge  0.7320  0.2680  0.7320
Ge  0.7320  0.7320  0.2680
Pd  0.0000  0.0000  0.3481
Pd  0.0000  0.0000  0.6519
Pd  0.0000  0.3481  0.0000
Pd  0.0000  0.3481  0.6519
Pd  0.0000  0.6519  0.0000
Pd  0.0000  0.6519  0.3481
Pd  0.1482  0.6173  0.6173
Pd  0.3481  0.0000  0.0000
Pd  0.3481  0.0000  0.6519
Pd  0.3481  0.6519  0.0000
Pd  0.3827  0.3827  0.3827
Pd  0.3827  0.3827  0.8518
Pd  0.3827  0.8518  0.3827
Pd  0.6173  0.1482  0.6173
Pd  0.6173  0.6173  0.1482
Pd  0.6173  0.6173  0.6173
Pd  0.6519  0.0000  0.0000
Pd  0.6519  0.0000  0.3481
Pd  0.6519  0.3481  0.0000
Pd  0.8518  0.3827  0.3827


# 3
Calculated powder diffractogram of PmGe2Pd7 for Cu Ka, from the GGA-PBE geometry in Alexandria.
Peak positions follow from Bragg's law for the DFT cell and can differ from measured ones.

Top 10 peaks for 10 to 90 degrees two-theta, sorted by position:
- 25.22 deg, 3.531 Å, intensity 15
- 31.94 deg, 2.802 Å, intensity 19
- 34.86 deg, 2.574 Å, intensity 17
- 35.42 deg, 2.535 Å, intensity 26
- 40.63 deg, 2.220 Å, intensity 100
- 43.97 deg, 2.059 Å, intensity 60
- 57.30 deg, 1.608 Å, intensity 16
- 63.94 deg, 1.456 Å, intensity 24
- 71.92 deg, 1.313 Å, intensity 13
- 78.57 deg, 1.218 Å, intensity 28

Atomic structure:
Cell lengths 10.6990, 10.6990, 10.6990 Å; angles 157.81, 157.81, 31.59 degrees
Fractional coordinates of all 10 atoms:
Pm  0.0000  0.0000  0.0000
Ge  0.3245  0.3245  0.0000
Ge  0.6755  0.6755  0.0000
Pd  0.1059  0.6059  0.5000
Pd  0.2500  0.7500  0.5000
Pd  0.3941  0.8941  0.5000
Pd  0.5000  0.5000  0.0000
Pd  0.6059  0.1059  0.5000
Pd  0.7500  0.2500  0.5000
Pd  0.8941  0.3941  0.5000